Simulated powder XRD pattern of CaNi2P2O10 for Cu Kα (weighted mean of Kα1 and Kα2), from a DFT-relaxed cell (GGA+U, Alexandria).

Largest 6 diffraction maxima, most intense first, 10° ≤ 2θ ≤ 90°:
| 2θ/deg | intensity |
| --- | --- |
| 25.1 | 100 |
| 30.2 | 89 |
| 31.3 | 76 |
| 33.1 | 68 |
| 37.6 | 62 |
| 28.9 | 53 |

Atomic structure:
abc: 7.0649 12.8168 15.0646
angles: 90.00 90.00 90.00
Space group Fddd (No. 70, origin choice 2)
Asymmetric unit:
Ca: 0.1250 0.1250 0.1250 [8 per cell]
Ni: 0.0000 0.0000 0.5000 [16 per cell]
P: 0.1250 0.1250 0.3312 [16 per cell]
O: 0.0472 0.3607 0.5183 [32 per cell]
O: 0.0979 0.0270 0.8601 [32 per cell]
O: 0.1250 0.1250 0.5819 [16 per cell]